For KCoMoF6, DFT lattice parameters and positions (PBE+U) gives the calculated powder XRD pattern in this record (Cu Kα).
Intensities are scaled so that the largest is 100.

```
KCoMoF6
1.0
-3.7408 3.8527 5.4717
3.7408 -3.8527 5.4717
3.7408 3.8527 -5.4717
K Co Mo F
2 2 2 12
Direct
0.3008 0.0508 0.2500
0.6992 0.9492 0.7500
0.0000 0.0000 0.5000
0.0000 0.5000 0.0000
0.0000 0.5000 0.5000
0.5000 0.5000 0.0000
0.0544 0.4024 0.2250
0.0544 0.8294 0.6521
0.0563 0.8063 0.2500
0.3227 0.1706 0.7250
0.3227 0.5976 0.1521
0.3303 0.5803 0.7500
0.6697 0.4197 0.2500
0.6773 0.4024 0.8479
0.6773 0.8294 0.2750
0.9437 0.1937 0.7500
0.9456 0.1706 0.3479
0.9456 0.5976 0.7750
```

Largest 10 diffraction maxima, most intense first, 10° ≤ 2θ ≤ 90°:
two_theta  I/Imax
27.3  100
14.3  72
14.1  71
28.9  64
28.3  39
47.5  38
27.7  31
27.0  24
43.1  22
16.2  22